Record 1
Simulated X-ray diffraction stick pattern
Compound: BaNi6
Radiation: Cu Ka
Structure: a cell relaxed with GGA-PBE
Intensities are scaled so that the largest is 100.

Principal peaks in the range 2θ from 10° to 90°, low angle first:
| 2theta | d [Å] | I_rel | hkl |
| --- | --- | --- | --- |
| 28.01 | 3.186 | 44 | 2 0 0 |
| 34.48 | 2.601 | 100 | 2 1 1 |
| 53.84 | 1.703 | 54 | 3 2 1 |
| 57.89 | 1.593 | 21 | 4 0 0 |
| 65.52 | 1.425 | 15 | 4 2 0 |
| 69.15 | 1.358 | 12 | 3 3 2 |
| 83.01 | 1.163 | 15 | 5 2 1 |
| 86.38 | 1.126 | 13 | 4 4 0 |

Cell and atoms:
```
data_BaNi6
_chemical_formula_sum 'Ba2 Ni12'
_cell_length_a 6.3717
_cell_length_b 6.3717
_cell_length_c 6.3717
_cell_angle_alpha 90.00
_cell_angle_beta 90.00
_cell_angle_gamma 90.00
_symmetry_space_group_name_H-M 'I m -3 m'
_symmetry_Int_Tables_number 229
_symmetry_space_group_name_Hall '-I 4 2 3'
loop_
_atom_site_label
_atom_site_fract_x
_atom_site_fract_y
_atom_site_fract_z
Ba1 0.0000 0.0000 0.0000
Ni1 0.0000 0.2500 0.5000
```

Record 2
Simulated X-ray diffraction stick pattern
Compound: BaNp4Ni3S12
Radiation: Cu Ka
Structure: a cell relaxed with GGA-PBE
Intensities are scaled so that the largest is 100.

Principal peaks in the range 2θ from 10° to 90°, low angle first:
| 2theta | d [Å] | I_rel | hkl |
| --- | --- | --- | --- |
| 18.44 | 4.811 | 29 | 2 0 0 |
| 26.20 | 3.402 | 100 | 2 2 0 |
| 37.39 | 2.405 | 24 | 4 0 0 |
| 42.00 | 2.151 | 21 | 4 2 0 |
| 46.22 | 1.964 | 61 | 4 2 2 |
| 60.90 | 1.521 | 23 | 6 0 2 |
| 73.68 | 1.286 | 23 | 6 2 4 |
| 85.67 | 1.134 | 18 | 6 6 0 |

Cell and atoms:
```
data_BaNp4Ni3S12
_chemical_formula_sum 'Ba2 Np8 Ni6 S24'
_cell_length_a 9.6213
_cell_length_b 9.6213
_cell_length_c 9.6213
_cell_angle_alpha 90.00
_cell_angle_beta 90.00
_cell_angle_gamma 90.00
_symmetry_space_group_name_H-M 'I m -3'
_symmetry_Int_Tables_number 204
_symmetry_space_group_name_Hall '-I 2 2 3'
loop_
_atom_site_label
_atom_site_fract_x
_atom_site_fract_y
_atom_site_fract_z
Ba1 0.0000 0.0000 0.0000
Np1 0.2500 0.2500 0.2500
Ni1 0.0000 0.0000 0.5000
S1 0.0000 0.3247 0.1565
```